Record 1
Ce3Nd5S8: calculated XRD peak list (a wavelength of 1.5418 Å), based on a cell relaxed with PBE.
Peak positions follow from Bragg's law for the DFT cell and can differ from measured ones.

Atomic structure:
```
data_Ce3Nd5S8
_chemical_formula_sum 'Ce9 Nd15 S24'
_symmetry_space_group_name_H-M 'R -3 m'
_symmetry_Int_Tables_number 166
_symmetry_space_group_name_Hall '-R 3 2"'
_cell_length_a 8.1070
_cell_length_b 8.1070
_cell_length_c 19.8579
_cell_angle_alpha 90.00
_cell_angle_beta 90.00
_cell_angle_gamma 120.00
loop_
_atom_site_label
_atom_site_type_symbol
_atom_site_fract_x
_atom_site_fract_y
_atom_site_fract_z
_atom_site_occupancy
Ce1 Ce 0.0000 0.5000 0.0000 1
Nd1 Nd 0.0000 0.0000 0.0000 1
Nd2 Nd 0.0000 0.0000 0.5000 1
Nd3 Nd 0.0000 0.5000 0.5000 1
S1 S 0.0000 0.0000 0.2511 1
S2 S 0.0018 0.5009 0.2509 1
```

Main lines, by angle (5 to 70 degrees two-theta):
(hkl)	2θ/deg	d/Å	I_rel
2 0 2	26.94	3.310	73
0 2 4	31.21	2.866	100
2 2 0	44.71	2.027	72
2 2 6	52.98	1.728	36
4 0 4	55.53	1.655	25
0 4 8	65.09	1.433	12


Record 2
Ce2Nd2S5: calculated XRD peak list (a wavelength of 1.5418 Å), based on a cell relaxed with PBE.
Peak positions follow from Bragg's law for the DFT cell and can differ from measured ones.

Atomic structure:
```
data_Ce2Nd2S5
_chemical_formula_sum 'Ce8 Nd8 S20'
_symmetry_space_group_name_H-M 'C m c e'
_symmetry_Int_Tables_number 64
_symmetry_space_group_name_Hall '-C 2ac 2'
_cell_length_a 14.2085
_cell_length_b 7.6564
_cell_length_c 7.6715
_cell_angle_alpha 90.00
_cell_angle_beta 90.00
_cell_angle_gamma 90.00
loop_
_atom_site_label
_atom_site_type_symbol
_atom_site_fract_x
_atom_site_fract_y
_atom_site_fract_z
_atom_site_occupancy
Ce1 Ce 0.1988 0.0000 0.0000 1
Nd1 Nd 0.0000 0.1556 0.3416 1
S1 S 0.0000 0.0000 0.0000 1
S2 S 0.1385 0.1588 0.6521 1
```

Main lines, by angle (5 to 70 degrees two-theta):
(hkl)	2θ/deg	d/Å	I_rel
3 1 1	24.97	3.566	80
2 0 2	26.43	3.373	100
2 2 1	28.94	3.085	54
3 1 2	32.23	2.778	67
0 2 2	33.06	2.710	46
5 1 1	35.68	2.517	30
4 2 1	36.44	2.466	50
1 1 3	37.65	2.389	96
2 4 0	49.26	1.850	30
5 1 3	49.42	1.844	86


Record 3
CeNdSm4S8: calculated XRD peak list (a wavelength of 1.5418 Å), based on a cell relaxed with PBE.
Peak positions follow from Bragg's law for the DFT cell and can differ from measured ones.

Atomic structure:
```
data_CeNdSm4S8
_chemical_formula_sum 'Ce3 Nd3 Sm12 S24'
_symmetry_space_group_name_H-M 'R 3 m'
_symmetry_Int_Tables_number 160
_symmetry_space_group_name_Hall 'R 3 -2"'
_cell_length_a 8.2764
_cell_length_b 8.2764
_cell_length_c 20.3472
_cell_angle_alpha 90.00
_cell_angle_beta 90.00
_cell_angle_gamma 120.00
loop_
_atom_site_label
_atom_site_type_symbol
_atom_site_fract_x
_atom_site_fract_y
_atom_site_fract_z
_atom_site_occupancy
Ce1 Ce 0.0000 0.0000 0.0000 1
Nd1 Nd 0.0000 0.0000 0.3746 1
Sm1 Sm 0.0000 0.0000 0.7493 1
Sm2 Sm 0.0002 0.5001 0.8746 1
S1 S 0.0000 0.0000 0.1346 1
S2 S 0.0000 0.0000 0.6169 1
S3 S 0.0174 0.5087 0.1282 1
S4 S 0.1785 0.3569 0.9536 1
```

Main lines, by angle (5 to 70 degrees two-theta):
(hkl)	2θ/deg	d/Å	I_rel
1 0 4	21.45	4.143	26
0 2 1	25.21	3.533	100
0 0 6	26.34	3.383	13
0 2 4	30.51	2.930	20
0 2 7	39.93	2.258	12
0 3 3	39.99	2.254	33
2 0 8	43.64	2.074	30
2 2 0	43.75	2.069	30
4 0 1	51.15	1.786	11
4 0 7	60.74	1.525	18


Record 4
Ce3Nd4SmS8: calculated XRD peak list (a wavelength of 1.5418 Å), based on a cell relaxed with PBE.
Peak positions follow from Bragg's law for the DFT cell and can differ from measured ones.

Atomic structure:
```
data_Ce3Nd4SmS8
_chemical_formula_sum 'Ce9 Nd12 Sm3 S24'
_symmetry_space_group_name_H-M 'R -3 m'
_symmetry_Int_Tables_number 166
_symmetry_space_group_name_Hall '-R 3 2"'
_cell_length_a 8.0939
_cell_length_b 8.0939
_cell_length_c 19.8037
_cell_angle_alpha 90.00
_cell_angle_beta 90.00
_cell_angle_gamma 120.00
loop_
_atom_site_label
_atom_site_type_symbol
_atom_site_fract_x
_atom_site_fract_y
_atom_site_fract_z
_atom_site_occupancy
Ce1 Ce 0.0000 0.5000 0.0000 1
Nd1 Nd 0.0000 0.0000 0.5000 1
Nd2 Nd 0.0000 0.5000 0.5000 1
Sm1 Sm 0.0000 0.0000 0.0000 1
S1 S 0.0000 0.0000 0.2511 1
S2 S 0.0006 0.5003 0.7485 1
```

Main lines, by angle (5 to 70 degrees two-theta):
(hkl)	2θ/deg	d/Å	I_rel
2 0 2	26.99	3.303	74
0 2 4	31.27	2.861	100
2 2 0	44.81	2.023	72
2 2 6	53.09	1.725	36
4 0 4	55.65	1.652	25
0 4 8	65.23	1.430	12


Record 5
Ce2Nd2Sb5: calculated XRD peak list (a wavelength of 1.5418 Å), based on a cell relaxed with PBE.
Peak positions follow from Bragg's law for the DFT cell and can differ from measured ones.

Atomic structure:
```
data_Ce2Nd2Sb5
_chemical_formula_sum 'Ce8 Nd8 Sb20'
_symmetry_space_group_name_H-M 'C m c e'
_symmetry_Int_Tables_number 64
_symmetry_space_group_name_Hall '-C 2ac 2'
_cell_length_a 15.7116
_cell_length_b 8.3303
_cell_length_c 8.3759
_cell_angle_alpha 90.00
_cell_angle_beta 90.00
_cell_angle_gamma 90.00
loop_
_atom_site_label
_atom_site_type_symbol
_atom_site_fract_x
_atom_site_fract_y
_atom_site_fract_z
_atom_site_occupancy
Ce1 Ce 0.1923 0.0000 0.0000 1
Nd1 Nd 0.0000 0.1542 0.3434 1
Sb1 Sb 0.0000 0.0000 0.0000 1
Sb2 Sb 0.1425 0.1536 0.6514 1
```

Main lines, by angle (5 to 70 degrees two-theta):
(hkl)	2θ/deg	d/Å	I_rel
2 2 1	26.46	3.369	39
3 1 2	29.34	3.045	100
0 2 2	30.26	2.953	36
5 1 1	32.27	2.774	29
4 2 1	33.12	2.705	73
6 0 0	34.24	2.619	40
1 1 3	34.35	2.610	63
1 3 1	34.50	2.599	62
5 1 3	44.77	2.024	27
5 3 1	44.89	2.019	23


Record 6
Ce5NdSb4: calculated XRD peak list (a wavelength of 1.5418 Å), based on a cell relaxed with PBE.
Peak positions follow from Bragg's law for the DFT cell and can differ from measured ones.

Atomic structure:
```
data_Ce5NdSb4
_chemical_formula_sum 'Ce10 Nd2 Sb8'
_symmetry_space_group_name_H-M 'C 1 2/m 1'
_symmetry_Int_Tables_number 12
_cell_length_a 16.7262
_cell_length_b 4.6752
_cell_length_c 8.1889
_cell_angle_alpha 90.00
_cell_angle_beta 109.57
_cell_angle_gamma 90.00
loop_
_symmetry_equiv_pos_as_xyz
'x,y,z'
'-x,-y,-z'
'-x,y,-z'
'x,-y,z'
'x+1/2,y+1/2,z'
'-x+1/2,-y+1/2,-z'
'-x+1/2,y+1/2,-z'
'x+1/2,-y+1/2,z'
loop_
_atom_site_label
_atom_site_type_symbol
_atom_site_fract_x
_atom_site_fract_y
_atom_site_fract_z
_atom_site_occupancy
Ce1 Ce 0.0000 0.0000 0.0000 1
Ce2 Ce 0.1299 0.5000 0.9510 1
Ce3 Ce 0.2144 0.0000 0.3514 1
Nd1 Nd 0.0000 0.0000 0.5000 1
Sb1 Sb 0.0712 0.5000 0.2997 1
Sb2 Sb 0.1875 0.0000 0.7587 1
```

Main lines, by angle (5 to 70 degrees two-theta):
(hkl)	2θ/deg	d/Å	I_rel
4 0 1	28.69	3.112	17
2 0 2	28.98	3.081	24
3 1 1	30.35	2.945	21
3 1 -2	30.46	2.935	100
5 1 0	34.31	2.614	55
0 2 0	38.50	2.338	34
1 1 3	42.14	2.144	17
8 0 -2	44.06	2.055	18
8 2 -2	59.92	1.544	16
3 3 -2	64.72	1.440	14